The following is a calculated powder diffraction line list of SrI2O6. It was derived from the PBE geometry in the Materials Project, using CuKα.
Intensities are scaled so that the largest is 1000.

Structural model:
```
data_SrI2O6
_chemical_formula_sum 'Sr2 I4 O12'
_symmetry_space_group_name_H-M 'P 1 21 1'
_symmetry_Int_Tables_number 4
_symmetry_space_group_name_Hall 'P 2yb'
_cell_length_a 6.197
_cell_length_b 5.448
_cell_length_c 10.608
_cell_angle_alpha 90.00
_cell_angle_beta 90.56
_cell_angle_gamma 90.00
loop_
_atom_site_label
_atom_site_fract_x
_atom_site_fract_y
_atom_site_fract_z
_atom_site_occupancy
Sr1 0.224 0.000 0.242 1
I1 0.270 0.390 0.573 1
I2 0.275 0.898 0.895 1
O1 0.015 0.241 0.614 1
O2 0.133 0.715 0.776 1
O3 0.147 0.787 0.039 1
O4 0.354 0.209 0.436 1
O5 0.448 0.257 0.693 1
O6 0.464 0.242 0.096 1
```

Main lines, sorted by position (10° ≤ 2θ ≤ 90°):
| h k l | two_theta | I (rel.) |
| --- | --- | --- |
| 1 1 -1 | 23.3 | 405 |
| 1 1 1 | 23.4 | 1000 |
| 1 1 -2 | 27.4 | 137 |
| 2 0 0 | 28.8 | 211 |
| 1 0 -3 | 29.0 | 181 |
| 1 0 3 | 29.2 | 216 |
| 2 2 0 | 44.3 | 254 |
| 1 2 3 | 44.5 | 136 |
| 3 1 1 | 47.9 | 113 |
| 2 1 4 | 48.4 | 107 |

=====

The following is a calculated powder diffraction line list of Ba2AlZnF9. It was derived from the PBE geometry in the Materials Project, using CuKα.
Intensities are scaled so that the largest is 1000.

Structural model:
```
data_Ba2AlZnF9
_chemical_formula_sum 'Ba8 Al4 Zn4 F36'
_symmetry_space_group_name_H-M 'P n m a'
_symmetry_Int_Tables_number 62
_symmetry_space_group_name_Hall '-P 2ac 2n'
_cell_length_a 17.877
_cell_length_b 5.672
_cell_length_c 7.522
_cell_angle_alpha 90.00
_cell_angle_beta 90.00
_cell_angle_gamma 90.00
loop_
_atom_site_label
_atom_site_fract_x
_atom_site_fract_y
_atom_site_fract_z
_atom_site_occupancy
Ba1 0.036 0.250 0.211 1
Ba2 0.216 0.750 0.940 1
Al1 0.126 0.750 0.417 1
Zn1 0.089 0.250 0.733 1
F1 0.037 0.750 0.275 1
F2 0.076 0.520 0.547 1
F3 0.081 0.501 0.923 1
F4 0.163 0.518 0.276 1
F5 0.197 0.250 0.721 1
F6 0.204 0.750 0.565 1
```

Main lines, sorted by position (10° ≤ 2θ ≤ 90°):
| h k l | two_theta | I (rel.) |
| --- | --- | --- |
| 1 1 1 | 20.2 | 386 |
| 3 1 1 | 24.7 | 566 |
| 4 1 0 | 25.4 | 1000 |
| 2 0 2 | 25.7 | 582 |
| 4 1 1 | 28.1 | 749 |
| 2 1 2 | 30.2 | 695 |
| 0 2 0 | 31.5 | 456 |
| 4 2 1 | 39.5 | 337 |
| 2 2 2 | 41.1 | 749 |
| 8 0 1 | 42.2 | 482 |

=====

The following is a calculated powder diffraction line list of SrHo2Al2O7. It was derived from the PBE geometry in the Materials Project, using CuKα.
Intensities are scaled so that the largest is 1000.

Structural model:
```
data_SrHo2Al2O7
_chemical_formula_sum 'Sr2 Ho4 Al4 O14'
_symmetry_space_group_name_H-M 'I 4/m m m'
_symmetry_Int_Tables_number 139
_symmetry_space_group_name_Hall '-I 4 2'
_cell_length_a 3.723
_cell_length_b 3.723
_cell_length_c 19.531
_cell_angle_alpha 90.00
_cell_angle_beta 90.00
_cell_angle_gamma 90.00
loop_
_atom_site_label
_atom_site_fract_x
_atom_site_fract_y
_atom_site_fract_z
_atom_site_occupancy
Sr1 0.000 0.000 0.000 1
Ho1 0.000 0.000 0.182 1
Al1 0.000 0.000 0.402 1
O1 0.000 0.000 0.294 1
O2 0.000 0.000 0.500 1
O3 0.000 0.500 0.107 1
```

Main lines, sorted by position (10° ≤ 2θ ≤ 90°):
| h k l | two_theta | I (rel.) |
| --- | --- | --- |
| 1 0 1 | 24.3 | 364 |
| 0 0 6 | 27.4 | 254 |
| 1 0 3 | 27.6 | 475 |
| 1 0 5 | 33.2 | 1000 |
| 1 1 0 | 34.1 | 705 |
| 1 1 6 | 44.2 | 461 |
| 2 0 0 | 48.9 | 405 |
| 1 0 11 | 57.5 | 194 |
| 2 1 5 | 60.4 | 379 |
| 3 1 6 | 88.3 | 176 |

=====

The following is a calculated powder diffraction line list of Na3Si3SnO9F. It was derived from the PBE geometry in the Materials Project, using CuKα.
Intensities are scaled so that the largest is 1000.

Structural model:
```
data_Na3Si3SnO9F
_chemical_formula_sum 'Na12 Si12 Sn4 O36 F4'
_symmetry_space_group_name_H-M 'C 1 2/m 1'
_symmetry_Int_Tables_number 12
_symmetry_space_group_name_Hall '-C 2y'
_cell_length_a 10.685
_cell_length_b 14.164
_cell_length_c 6.605
_cell_angle_alpha 90.00
_cell_angle_beta 111.65
_cell_angle_gamma 90.00
loop_
_atom_site_label
_atom_site_fract_x
_atom_site_fract_y
_atom_site_fract_z
_atom_site_occupancy
Na1 0.010 0.000 0.263 1
Na2 0.242 0.135 0.082 1
Si1 0.000 0.286 0.000 1
Si2 0.202 0.389 0.397 1
Sn1 0.000 0.225 0.500 1
O1 0.050 0.223 0.839 1
O2 0.129 0.354 0.139 1
O3 0.135 0.114 0.538 1
O4 0.149 0.326 0.554 1
O5 0.159 0.500 0.406 1
F1 0.149 0.000 0.069 1
```

Main lines, sorted by position (10° ≤ 2θ ≤ 90°):
| h k l | two_theta | I (rel.) |
| --- | --- | --- |
| 0 2 0 | 12.5 | 1000 |
| 0 0 1 | 14.4 | 591 |
| 2 2 0 | 21.9 | 746 |
| 2 2 -1 | 22.3 | 418 |
| 1 3 -1 | 23.4 | 244 |
| 0 0 2 | 29.1 | 405 |
| 2 2 -2 | 30.7 | 353 |
| 2 4 0 | 31.0 | 804 |
| 0 2 2 | 31.8 | 369 |
| 3 5 -1 | 41.0 | 233 |